For SrLi2W2O7, a structure optimized by DFT (PBE+U) gives the calculated PXRD pattern in this record (Cu Ka).

Structural model:
Unit cell a=9.338 b=9.338 c=9.338 alpha=154.92 beta=154.91 gamma=35.77
Fractional positions:
1 Sr 0.000 0.000 0.000
2 Li 0.250 0.750 0.500
3 Li 0.750 0.250 0.500
4 W 0.385 0.385 0.000
5 W 0.615 0.615 0.000
6 O 0.104 0.604 0.500
7 O 0.280 0.280 0.000
8 O 0.396 0.896 0.500
9 O 0.500 0.500 0.000
10 O 0.604 0.104 0.500
11 O 0.720 0.720 0.000
12 O 0.896 0.396 0.500

Top 10 peaks for 2θ from 10° to 90°, low angle first:
| 2θ (°) | Rel. int. |
| --- | --- |
| 19.98 | 42 |
| 22.49 | 77 |
| 26.64 | 100 |
| 31.19 | 70 |
| 33.53 | 88 |
| 44.69 | 47 |
| 51.45 | 26 |
| 52.08 | 27 |
| 52.79 | 31 |
| 57.01 | 41 |